Starting from a DFT-relaxed cell (GGA-PBE, Alexandria), the PXRD pattern of Th2IrRh2 was simulated for Cu Kα (λ = 1.5418 Å).
Intensities are scaled so that the largest is 1000.

Most intense lines, 10° ≤ 2θ ≤ 90°, by intensity:
35.78°, rel. 1000, hkl 2 1 2; 33.61°, rel. 622, hkl 2 0 2; 38.36°, rel. 445, hkl 3 1 0; 56.48°, rel. 233, hkl 4 1 2; 62.55°, rel. 226, hkl 3 1 4; 34.18°, rel. 198, hkl 2 2 0

Structure:
```
data_Th2IrRh2
_space_group_name_H-M_alt 'P 4/m n c'
_space_group_IT_number 128
_space_group_name_Hall '-P 4 2n'
_cell_length_a 7.4201
_cell_length_b 7.4201
_cell_length_c 7.6714
_cell_angle_alpha 90.00
_cell_angle_beta 90.00
_cell_angle_gamma 90.00
loop_
_atom_site_label
_atom_site_type_symbol
_atom_site_fract_x
_atom_site_fract_y
_atom_site_fract_z
_atom_site_occupancy
Th1 Th 0.1824 0.3176 0.0000 1
Ir1 Ir 0.0000 0.0000 0.2494 1
Rh1 Rh 0.1296 0.6296 0.2500 1
```



Starting from a DFT-relaxed cell (GGA-PBE, Alexandria), the PXRD pattern of ThIrRh3 was simulated for Cu Kα (λ = 1.5418 Å).
Intensities are scaled so that the largest is 1000.

Most intense lines, 10° ≤ 2θ ≤ 90°, by intensity:
44.55°, rel. 1000, hkl 1 3 1; 36.75°, rel. 731, hkl 0 0 2; 31.46°, rel. 681, hkl 2 0 0; 24.38°, rel. 661, hkl 0 2 0; 26.97°, rel. 591, hkl 1 1 1; 40.20°, rel. 518, hkl 2 2 0

Structure:
```
data_ThIrRh3
_space_group_name_H-M_alt 'P b a m'
_space_group_IT_number 55
_space_group_name_Hall '-P 2 2ab'
_cell_length_a 5.6875
_cell_length_b 7.3012
_cell_length_c 4.8915
_cell_angle_alpha 90.00
_cell_angle_beta 90.00
_cell_angle_gamma 90.00
loop_
_atom_site_label
_atom_site_type_symbol
_atom_site_fract_x
_atom_site_fract_y
_atom_site_fract_z
_atom_site_occupancy
Th1 Th 0.0000 0.0000 0.0000 1
Ir1 Ir 0.0000 0.5000 0.5000 1
Rh1 Rh 0.0000 0.5000 0.0000 1
Rh2 Rh 0.1043 0.1671 0.5000 1
```



Starting from a DFT-relaxed cell (GGA-PBE, Alexandria), the PXRD pattern of Th2Ir5Rh5 was simulated for Cu Kα (λ = 1.5418 Å).
Intensities are scaled so that the largest is 1000.

Most intense lines, 10° ≤ 2θ ≤ 90°, by intensity:
39.82°, rel. 1000, hkl 1 2 0; 28.19°, rel. 573, hkl 1 0 2; 39.38°, rel. 379, hkl 0 2 2; 41.25°, rel. 373, hkl 2 0 0; 58.31°, rel. 372, hkl 2 0 4; 44.69°, rel. 215, hkl 1 2 2

Structure:
```
data_Th2Ir5Rh5
_space_group_name_H-M_alt 'P m m m'
_space_group_IT_number 47
_space_group_name_Hall '-P 2 2'
_cell_length_a 4.3771
_cell_length_b 5.2789
_cell_length_c 9.1826
_cell_angle_alpha 90.00
_cell_angle_beta 90.00
_cell_angle_gamma 90.00
loop_
_atom_site_label
_atom_site_type_symbol
_atom_site_fract_x
_atom_site_fract_y
_atom_site_fract_z
_atom_site_occupancy
Th1 Th 0.0000 0.0000 0.0000 1
Th2 Th 0.0000 0.5000 0.5000 1
Ir1 Ir 0.5000 0.0000 0.5000 1
Ir2 Ir 0.5000 0.2514 0.2515 1
Rh1 Rh 0.0000 0.0000 0.3318 1
Rh2 Rh 0.0000 0.5000 0.1668 1
Rh3 Rh 0.5000 0.5000 0.0000 1
```



Starting from a DFT-relaxed cell (GGA-PBE, Alexandria), the PXRD pattern of TiIr2Rh3 was simulated for Cu Kα (λ = 1.5418 Å).
Intensities are scaled so that the largest is 1000.

Most intense lines, 10° ≤ 2θ ≤ 90°, by intensity:
38.23°, rel. 1000, hkl 0 2 2; 13.39°, rel. 715, hkl 0 2 0; 40.96°, rel. 626, hkl 0 6 0; 51.32°, rel. 594, hkl 2 2 2; 45.26°, rel. 585, hkl 0 4 2; 40.06°, rel. 541, hkl 2 2 1

Structure:
```
data_TiIr2Rh3
_space_group_name_H-M_alt 'C m c m'
_space_group_IT_number 63
_space_group_name_Hall '-C 2c 2'
_cell_length_a 5.4416
_cell_length_b 13.2215
_cell_length_c 5.0383
_cell_angle_alpha 90.00
_cell_angle_beta 90.00
_cell_angle_gamma 90.00
loop_
_atom_site_label
_atom_site_type_symbol
_atom_site_fract_x
_atom_site_fract_y
_atom_site_fract_z
_atom_site_occupancy
Ti1 Ti 0.0000 0.1566 0.2500 1
Ir1 Ir 0.2482 0.0000 0.0000 1
Rh1 Rh 0.0000 0.3521 0.7500 1
Rh2 Rh 0.2483 0.1793 0.7500 1
```



Starting from a DFT-relaxed cell (GGA-PBE, Alexandria), the PXRD pattern of TiIr2Rh5 was simulated for Cu Kα (λ = 1.5418 Å).
Intensities are scaled so that the largest is 1000.

Most intense lines, 10° ≤ 2θ ≤ 90°, by intensity:
39.06°, rel. 1000, hkl 2 1 3; 43.21°, rel. 362, hkl 3 1 0; 82.78°, rel. 170, hkl 5 2 3; 16.07°, rel. 137, hkl 0 0 2; 67.84°, rel. 135, hkl 3 1 6; 49.58°, rel. 126, hkl 0 0 6

Structure:
```
data_TiIr2Rh5
_space_group_name_H-M_alt 'I 4/m c m'
_space_group_IT_number 140
_space_group_name_Hall '-I 4 2c'
_cell_length_a 6.6204
_cell_length_b 6.6204
_cell_length_c 11.0311
_cell_angle_alpha 90.00
_cell_angle_beta 90.00
_cell_angle_gamma 90.00
loop_
_atom_site_label
_atom_site_type_symbol
_atom_site_fract_x
_atom_site_fract_y
_atom_site_fract_z
_atom_site_occupancy
Ti1 Ti 0.0000 0.0000 0.2500 1
Ir1 Ir 0.1363 0.3637 0.0000 1
Rh1 Rh 0.0000 0.0000 0.0000 1
Rh2 Rh 0.1488 0.3512 0.3323 1
```



Starting from a DFT-relaxed cell (GGA-PBE, Alexandria), the PXRD pattern of Ti3IrRh5 was simulated for Cu Kα (λ = 1.5418 Å).
Intensities are scaled so that the largest is 1000.

Most intense lines, 10° ≤ 2θ ≤ 90°, by intensity:
41.11°, rel. 1000, hkl 1 1 2; 41.80°, rel. 885, hkl 3 0 0; 60.07°, rel. 320, hkl 2 2 2; 75.85°, rel. 318, hkl 4 1 2; 84.35°, rel. 223, hkl 3 0 4; 23.77°, rel. 150, hkl 1 1 0

Structure:
```
data_Ti3IrRh5
_space_group_name_H-M_alt 'P 63/m c m'
_space_group_IT_number 193
_space_group_name_Hall '-P 6c 2'
_cell_length_a 7.4868
_cell_length_b 7.4868
_cell_length_c 5.4211
_cell_angle_alpha 90.00
_cell_angle_beta 90.00
_cell_angle_gamma 120.00
loop_
_atom_site_label
_atom_site_type_symbol
_atom_site_fract_x
_atom_site_fract_y
_atom_site_fract_z
_atom_site_occupancy
Ti1 Ti 0.0000 0.3318 0.2500 1
Ir1 Ir 0.0000 0.0000 0.0000 1
Rh1 Rh 0.0000 0.3329 0.7500 1
Rh2 Rh 0.3333 0.6667 0.0000 1
```